Structure and calculated X-ray powder pattern of RbNaTcBr6 (a PBE-relaxed structure; Cu Ka).
No peak broadening, texture or thermal motion is included.

Atomic structure:
```
RbNaTcBr6
1.0
7.370 0.000 0.000
-3.685 6.382 0.000
0.000 0.000 14.562
Rb Na Tc Br
2 2 2 12
Direct
0.000 0.000 0.000 Rb
0.000 0.000 0.500 Rb
0.333 0.667 0.250 Na
0.667 0.333 0.750 Na
0.333 0.667 0.750 Tc
0.667 0.333 0.250 Tc
0.046 0.394 0.648 Br
0.046 0.651 0.852 Br
0.349 0.394 0.852 Br
0.349 0.954 0.648 Br
0.394 0.046 0.148 Br
0.394 0.349 0.352 Br
0.606 0.651 0.648 Br
0.606 0.954 0.852 Br
0.651 0.046 0.352 Br
0.651 0.606 0.148 Br
0.954 0.349 0.148 Br
0.954 0.606 0.352 Br
```

Principal peaks in the range 2θ = 10–90°, in order of rising 2θ:
(0 0 2), 12.16°, I = 275; (1 0 1), 15.16°, I = 513; (1 0 2), 18.49°, I = 548; (2 -1 2), 27.12°, I = 1000; (1 1 4), 34.64°, I = 766; (2 1 2), 39.35°, I = 228; (2 1 3), 41.82°, I = 178; (3 0 0), 42.49°, I = 321; (2 -1 6), 44.71°, I = 187; (4 -2 4), 55.93°, I = 135